Record 1
This entry pairs a crystal structure of NdMg2AgAu4 with its computed X-ray diffraction stick pattern. Radiation: Cu Kα (λ = 1.5418 Å). Structure: a structure optimized by DFT (PBE).
Peak positions follow from Bragg's law for the DFT cell and can differ from measured ones.

Main lines, sorted by position (10 to 90 degrees two-theta):
2θ/deg, I/Imax
23.10, 32
25.86, 45
34.89, 91
38.80, 100
40.49, 35
53.16, 27
57.32, 14
67.73, 27
70.25, 18
76.00, 13

Lattice parameters (Å, degrees): 9.317 9.317 9.317 28.85 28.85 28.85
Element x y z (fractional)
Nd (0.000, 0.000, 0.000)
Mg (0.234, 0.234, 0.234)
Mg (0.766, 0.766, 0.766)
Ag (0.500, 0.500, 0.500)
Au (0.121, 0.121, 0.121)
Au (0.394, 0.394, 0.394)
Au (0.606, 0.606, 0.606)
Au (0.879, 0.879, 0.879)

Record 2
This entry pairs a crystal structure of LiThRhPb with its computed X-ray diffraction stick pattern. Radiation: Cu Kα (λ = 1.5418 Å). Structure: a structure optimized by DFT (PBE).
Peak positions follow from Bragg's law for the DFT cell and can differ from measured ones.

Main lines, sorted by position (10 to 90 degrees two-theta):
2θ/deg, I/Imax
22.23, 9
25.73, 42
36.70, 100
45.36, 13
52.88, 18
59.71, 18
66.10, 37
78.06, 12
83.81, 9
89.50, 17

Lattice parameters (Å, degrees): 4.897 4.897 4.897 60.00 60.00 60.00
Element x y z (fractional)
Li (0.000, 0.000, 0.000)
Th (0.250, 0.250, 0.250)
Rh (0.500, 0.500, 0.500)
Pb (0.750, 0.750, 0.750)

Record 3
This entry pairs a crystal structure of NaLaAg with its computed X-ray diffraction stick pattern. Radiation: Cu Kα (λ = 1.5418 Å). Structure: a structure optimized by DFT (PBE).
Peak positions follow from Bragg's law for the DFT cell and can differ from measured ones.

Main lines, sorted by position (10 to 90 degrees two-theta):
2θ/deg, I/Imax
19.58, 38
32.48, 100
34.25, 68
47.92, 33
60.22, 33
61.34, 12
64.40, 21
72.17, 7
81.38, 14
85.11, 9

Lattice parameters (Å, degrees): 5.236 5.236 3.472 90.00 90.00 120.00
Element x y z (fractional)
Na (0.000, 0.000, 0.000)
La (0.667, 0.333, 0.500)
Ag (0.333, 0.667, 0.000)

Record 4
This entry pairs a crystal structure of SbSeCl9 with its computed X-ray diffraction stick pattern. Radiation: Cu Kα (λ = 1.5418 Å). Structure: a structure optimized by DFT (PBE).
Peak positions follow from Bragg's law for the DFT cell and can differ from measured ones.

Main lines, sorted by position (10 to 90 degrees two-theta):
2θ/deg, I/Imax
11.92, 12
14.13, 8
15.21, 100
16.04, 15
19.95, 21
29.16, 12
30.42, 19
36.22, 11
41.22, 8
45.76, 10

Lattice parameters (Å, degrees): 9.925 11.693 13.820 90.00 104.31 90.00
Element x y z (fractional)
Sb (0.022, 0.250, 0.375)
Sb (0.326, 0.750, 0.164)
Sb (0.674, 0.250, 0.836)
Sb (0.978, 0.750, 0.625)
Se (0.053, 0.250, 0.882)
Se (0.358, 0.750, 0.680)
Se (0.642, 0.250, 0.320)
Se (0.947, 0.750, 0.118)
Cl (0.130, 0.750, 0.506)
Cl (0.141, 0.250, 0.247)
Cl (0.144, 0.606, 0.719)
Cl (0.144, 0.894, 0.719)
Cl (0.148, 0.750, 0.002)
Cl (0.150, 0.250, 0.755)
Cl (0.158, 0.102, 0.467)
Cl (0.158, 0.398, 0.467)
Cl (0.170, 0.108, 0.967)
Cl (0.170, 0.392, 0.967)
Cl (0.176, 0.606, 0.217)
Cl (0.176, 0.894, 0.217)
Cl (0.447, 0.602, 0.104)
Cl (0.447, 0.898, 0.104)
Cl (0.465, 0.608, 0.626)
Cl (0.465, 0.892, 0.626)
Cl (0.477, 0.750, 0.837)
Cl (0.478, 0.750, 0.325)
Cl (0.522, 0.250, 0.675)
Cl (0.523, 0.250, 0.163)
Cl (0.535, 0.108, 0.374)
Cl (0.535, 0.392, 0.374)
Cl (0.553, 0.102, 0.896)
Cl (0.553, 0.398, 0.896)
Cl (0.824, 0.106, 0.783)
Cl (0.824, 0.394, 0.783)
Cl (0.830, 0.608, 0.033)
Cl (0.830, 0.892, 0.033)
Cl (0.842, 0.602, 0.533)
Cl (0.842, 0.898, 0.533)
Cl (0.850, 0.750, 0.245)
Cl (0.852, 0.250, 0.998)
Cl (0.856, 0.106, 0.281)
Cl (0.856, 0.394, 0.281)
Cl (0.859, 0.750, 0.753)
Cl (0.870, 0.250, 0.494)

Record 5
This entry pairs a crystal structure of Er10TmTh4 with its computed X-ray diffraction stick pattern. Radiation: Cu Kα (λ = 1.5418 Å). Structure: a structure optimized by DFT (PBE).
Peak positions follow from Bragg's law for the DFT cell and can differ from measured ones.

Main lines, sorted by position (10 to 90 degrees two-theta):
2θ/deg, I/Imax
28.03, 64
31.00, 52
31.93, 96
32.34, 100
34.32, 31
35.75, 29
41.39, 40
54.22, 26
67.66, 31
68.17, 27

Lattice parameters (Å, degrees): 8.820 8.820 8.820 101.09 101.09 127.99
Element x y z (fractional)
Er (0.001, 0.793, 0.209)
Er (0.207, 0.416, 0.209)
Er (0.207, 0.999, 0.791)
Er (0.250, 0.750, 0.500)
Er (0.416, 0.207, 0.209)
Er (0.584, 0.793, 0.791)
Er (0.750, 0.250, 0.500)
Er (0.793, 0.001, 0.209)
Er (0.793, 0.584, 0.791)
Er (0.999, 0.207, 0.791)
Tm (0.500, 0.500, 0.000)
Th (0.273, 0.273, 0.545)
Th (0.273, 0.727, 0.000)
Th (0.727, 0.273, 0.000)
Th (0.727, 0.727, 0.455)

Record 6
This entry pairs a crystal structure of Nd3DyHo6 with its computed X-ray diffraction stick pattern. Radiation: Cu Kα (λ = 1.5418 Å). Structure: a structure optimized by DFT (PBE).
Peak positions follow from Bragg's law for the DFT cell and can differ from measured ones.

Main lines, sorted by position (10 to 90 degrees two-theta):
2θ/deg, I/Imax
28.22, 33
28.64, 92
28.71, 20
29.74, 32
31.65, 64
31.76, 100
32.67, 48
34.05, 88
34.16, 22
50.17, 38

Lattice parameters (Å, degrees): 10.914 10.914 6.335 90.00 90.00 119.73
Element x y z (fractional)
Nd (0.112, 0.888, 0.500)
Nd (0.211, 0.437, 0.107)
Nd (0.437, 0.211, 0.607)
Nd (0.563, 0.789, 0.107)
Nd (0.789, 0.563, 0.607)
Nd (0.888, 0.112, 0.000)
Dy (0.304, 0.696, 0.438)
Dy (0.696, 0.304, 0.938)
Ho (0.030, 0.450, 0.699)
Ho (0.121, 0.213, 0.523)
Ho (0.213, 0.121, 0.023)
Ho (0.228, 0.772, 0.921)
Ho (0.450, 0.030, 0.199)
Ho (0.460, 0.540, 0.696)
Ho (0.540, 0.460, 0.196)
Ho (0.550, 0.970, 0.699)
Ho (0.772, 0.228, 0.421)
Ho (0.787, 0.879, 0.523)
Ho (0.879, 0.787, 0.023)
Ho (0.970, 0.550, 0.199)